Structure and computed powder diffractogram of SrScF5 (a crystal structure in Alexandria, relaxed with GGA-PBE; Cu Kα (weighted mean of Kα1 and Kα2)).
Lines closer than 0.1° are merged.

Atomic structure:
```
SrScF5
1.0
4.1101 0.0000 0.0000
0.0000 7.0300 0.0000
0.0000 0.0000 8.7295
Sr Sc F
2 2 10
Cartesian
0.0000 0.0000 0.0000 Sr
2.0550 3.5150 4.3648 Sr
0.0000 0.0000 4.3648 Sc
2.0550 3.5150 0.0000 Sc
0.0000 0.0000 2.3731 F
0.0000 0.0000 6.3564 F
0.0000 2.0589 4.3648 F
0.0000 3.5150 0.0000 F
0.0000 4.9712 4.3648 F
2.0550 0.0000 4.3648 F
2.0550 1.4561 0.0000 F
2.0550 3.5150 1.9917 F
2.0550 3.5150 6.7378 F
2.0550 5.5739 0.0000 F
```

Main lines, sorted by position (2θ = 10–90°):
2θ = 20.3°, rel. 99.8; 2θ = 25.1°, rel. 100.0; 2θ = 25.3°, rel. 61.0; 2θ = 35.1°, rel. 34.0; 2θ = 44.5°, rel. 32.2; 2θ = 49.0°, rel. 45.2


Structure and computed powder diffractogram of Sr2ScF7 (a crystal structure in Alexandria, relaxed with GGA-PBE; Cu Kα (weighted mean of Kα1 and Kα2)).
Lines closer than 0.1° are merged.

Atomic structure:
```
Sr2ScF7
1.0
5.5408 0.0000 0.0000
0.0000 12.3074 0.0000
-0.0630 0.0000 8.3259
Sr Sc F
8 4 28
Cartesian
1.2793 0.7591 2.6957 Sr
1.2477 5.3946 6.8586 Sr
1.2729 8.8600 3.7216 Sr
1.2414 9.6012 7.8845 Sr
4.2364 2.7063 0.4414 Sr
4.2049 3.4474 4.6043 Sr
4.2300 6.9128 1.4673 Sr
4.1985 11.5483 5.6302 Sr
1.4798 1.5473 6.5325 Sc
1.5113 4.6065 2.3695 Sc
3.9665 7.7010 5.9564 Sc
3.9980 10.7602 1.7934 Sc
0.0601 3.0197 2.5316 F
0.0286 3.1340 6.6945 F
0.0483 1.2945 4.9228 F
0.0798 4.8592 0.7599 F
1.0818 6.6108 2.4100 F
1.0503 11.8503 6.5729 F
1.1069 1.6736 0.2064 F
1.0754 4.4801 4.3694 F
2.0982 7.0651 5.2328 F
2.1297 11.3960 1.0699 F
2.6679 1.2948 4.7970 F
2.6830 2.8376 2.4482 F
2.6514 3.3161 6.6111 F
2.6994 4.8589 0.6340 F
2.7784 7.4485 7.6919 F
2.8263 8.9914 1.7148 F
2.7948 9.4698 5.8777 F
2.8099 11.0126 3.5289 F
3.3480 0.9114 7.2560 F
3.3796 5.2423 3.0931 F
4.4024 7.8273 3.9565 F
4.3709 10.6338 8.1194 F
4.4275 0.4571 1.7530 F
4.3960 5.6966 5.9159 F
5.3980 7.4482 7.5660 F
5.4295 11.0129 3.4031 F
5.4491 9.1734 1.6314 F
5.4176 9.2877 5.7943 F
```

Main lines, sorted by position (2θ = 10–90°):
2θ = 26.9°, rel. 33.9; 2θ = 27.0°, rel. 100.0; 2θ = 27.7°, rel. 41.3; 2θ = 44.1°, rel. 47.4; 2θ = 45.2°, rel. 36.2; 2θ = 48.6°, rel. 32.2


Structure and computed powder diffractogram of SrScTlF6 (a crystal structure in Alexandria, relaxed with GGA-PBE; Cu Kα (weighted mean of Kα1 and Kα2)).
Lines closer than 0.1° are merged.

Atomic structure:
```
SrScTlF6
1.0
-3.9035 3.9980 5.3125
3.9035 -3.9980 5.3125
3.9035 3.9980 -5.3125
Sr Sc Tl F
2 2 2 12
Cartesian
0.0000 0.0000 0.0000 Sr
0.0000 3.9980 0.0000 Sr
-1.9517 1.9990 2.6562 Sc
1.9517 1.9990 2.6562 Sc
3.9035 1.9990 -1.1742 Tl
0.0000 1.9990 6.4867 Tl
3.9035 -1.9990 3.9957 F
2.1763 0.5719 1.2628 F
5.6307 0.5719 1.2628 F
0.0000 1.9990 1.9563 F
2.1763 4.5699 -1.2628 F
1.7272 0.5719 4.0497 F
2.1763 3.4261 1.2628 F
1.7272 -0.5719 6.5753 F
3.9035 1.9990 3.3562 F
-1.7272 3.4261 4.0497 F
1.7272 3.4261 4.0497 F
0.0000 5.9970 1.3168 F
```

Main lines, sorted by position (2θ = 10–90°):
2θ = 23.1°, rel. 100.0; 2θ = 26.4°, rel. 96.2; 2θ = 26.8°, rel. 76.5; 2θ = 27.5°, rel. 43.7; 2θ = 42.3°, rel. 35.0; 2θ = 47.2°, rel. 64.6


Structure and computed powder diffractogram of ScTl4F7 (a crystal structure in Alexandria, relaxed with GGA-PBE; Cu Kα (weighted mean of Kα1 and Kα2)).
Lines closer than 0.1° are merged.

Atomic structure:
```
ScTl4F7
1.0
6.6465 -2.0803 0.0000
6.6465 2.0803 0.0000
-5.2658 0.0000 9.6561
Sc Tl F
1 4 7
Cartesian
0.0000 0.0000 0.0000 Sc
-1.6910 0.0000 7.7753 Tl
2.1558 0.0000 5.7360 Tl
5.8714 0.0000 3.9202 Tl
9.7182 0.0000 1.8808 Tl
-0.6308 0.0000 1.9134 F
1.9549 0.0000 0.6227 F
-0.2931 0.0000 5.5770 F
6.6465 0.0000 0.0000 F
8.3203 0.0000 4.0791 F
6.0723 0.0000 9.0334 F
8.6580 0.0000 7.7428 F
```

Main lines, sorted by position (2θ = 10–90°):
2θ = 24.4°, rel. 55.3; 2θ = 25.9°, rel. 100.0; 2θ = 27.4°, rel. 45.7; 2θ = 30.4°, rel. 50.0; 2θ = 40.6°, rel. 33.7; 2θ = 49.7°, rel. 30.2